Calculated powder diffractogram
Compound: V5FeP6O24
Radiation: λ = 1.5418 Å (Cu Kα)
Structure: the PBE+U geometry in Alexandria
No peak broadening, texture or thermal motion is included.

Atomic structure:
Unit cell a=8.5930 b=8.5930 c=20.9064 alpha=90.00 beta=90.00 gamma=120.00
Space group R3 (No. 146, hexagonal axes)
Asymmetric unit:
V: 0.0000 0.0000 0.0000 (multiplicity 3)
V: 0.0000 0.0000 0.1432 (multiplicity 3)
V: 0.0000 0.0000 0.2863 (multiplicity 3)
V: 0.0000 0.0000 0.6448 (multiplicity 3)
V: 0.0000 0.0000 0.7882 (multiplicity 3)
Fe: 0.0000 0.0000 0.5015 (multiplicity 3)
P: 0.0419 0.6698 0.5603 (multiplicity 9)
P: 0.0430 0.3752 0.0622 (multiplicity 9)
O: 0.0035 0.1980 0.3345 (multiplicity 9)
O: 0.0067 0.8108 0.9547 (multiplicity 9)
O: 0.0139 0.1788 0.0654 (multiplicity 9)
O: 0.0249 0.8401 0.5683 (multiplicity 9)
O: 0.1414 0.4646 0.1237 (multiplicity 9)
O: 0.1481 0.6787 0.4999 (multiplicity 9)
O: 0.1655 0.6864 0.8854 (multiplicity 9)
O: 0.1676 0.4858 0.3911 (multiplicity 9)

Main lines, low angle first (2θ from 10° to 90°):
| (hkl) | two_theta | d [Å] | Rel. int. |
| --- | --- | --- | --- |
| 1 1 0 | 20.7 | 4.294 | 78.2 |
| 1 1 3 | 24.3 | 3.657 | 100.0 |
| 2 0 2 | 25.4 | 3.505 | 13.8 |
| 0 2 4 | 29.5 | 3.031 | 10.7 |
| 2 1 1 | 32.1 | 2.788 | 16.4 |
| 1 1 6 | 33.1 | 2.706 | 58.0 |
| 3 0 0 | 36.2 | 2.480 | 33.1 |
| 1 2 8 | 47.5 | 1.915 | 27.0 |
| 4 -2 6 | 49.9 | 1.829 | 24.2 |
| 4 1 0 | 56.7 | 1.624 | 22.0 |
| 3 1 8 | 56.8 | 1.620 | 13.1 |
| 4 1 6 | 63.2 | 1.472 | 15.5 |